Starting from DFT lattice parameters and positions (GGA-PBE), the X-ray diffraction stick pattern of MgCuS was computed for Cu Kα (weighted mean of Kα1 and Kα2).
No peak broadening, texture or thermal motion is included.

Structure:
```
data_MgCuS
_cell_length_a 4.262
_cell_length_b 4.262
_cell_length_c 4.262
_cell_angle_alpha 60.00
_cell_angle_beta 60.00
_cell_angle_gamma 60.00
_symmetry_space_group_name_H-M 'P 1'
_symmetry_Int_Tables_number 1
loop_
_symmetry_equiv_pos_as_xyz
'x,y,z'
loop_
_atom_site_label
_atom_site_type_symbol
_atom_site_fract_x
_atom_site_fract_y
_atom_site_fract_z
_atom_site_occupancy
Mg1 Mg 0.000 0.000 0.000 1
Cu1 Cu 0.750 0.750 0.750 1
S1 S 0.250 0.250 0.250 1
```

Largest 9 diffraction maxima, low angle first, 2θ from 10° to 80°:
2θ = 25.60°, I = 30.8
2θ = 29.64°, I = 50.4
2θ = 42.42°, I = 100.0
2θ = 50.20°, I = 15.4
2θ = 52.60°, I = 11.9
2θ = 61.54°, I = 15.3
2θ = 67.77°, I = 5.7
2θ = 69.78°, I = 14.2
2θ = 77.60°, I = 29.8

Starting from DFT lattice parameters and positions (GGA-PBE), the X-ray diffraction stick pattern of MgCu6S6 was computed for Cu Kα (weighted mean of Kα1 and Kα2).
No peak broadening, texture or thermal motion is included.

Structure:
```
data_MgCu6S6
_cell_length_a 3.756
_cell_length_b 3.756
_cell_length_c 18.023
_cell_angle_alpha 90.42
_cell_angle_beta 90.42
_cell_angle_gamma 60.02
_symmetry_space_group_name_H-M 'P 1'
_symmetry_Int_Tables_number 1
loop_
_symmetry_equiv_pos_as_xyz
'x,y,z'
loop_
_atom_site_label
_atom_site_type_symbol
_atom_site_fract_x
_atom_site_fract_y
_atom_site_fract_z
_atom_site_occupancy
Mg1 Mg 0.000 0.000 0.000 1
Cu1 Cu 0.330 0.330 0.261 1
Cu2 Cu 0.331 0.331 0.606 1
Cu3 Cu 0.332 0.332 0.864 1
Cu4 Cu 0.994 0.994 0.150 1
Cu5 Cu 0.995 0.995 0.409 1
Cu6 Cu 0.996 0.996 0.750 1
S1 S 0.330 0.330 0.734 1
S2 S 0.659 0.659 0.100 1
S3 S 0.662 0.662 0.449 1
S4 S 0.663 0.663 0.566 1
S5 S 0.668 0.668 0.914 1
S6 S 0.997 0.997 0.281 1
```

Largest 10 diffraction maxima, low angle first, 2θ from 10° to 80°:
2θ = 27.86°, I = 25.7
2θ = 29.13°, I = 26.6
2θ = 29.23°, I = 28.6
2θ = 29.74°, I = 28.0
2θ = 31.18°, I = 43.9
2θ = 31.33°, I = 54.4
2θ = 34.85°, I = 23.2
2θ = 37.14°, I = 29.8
2θ = 48.46°, I = 100.0
2θ = 49.30°, I = 30.4

Starting from DFT lattice parameters and positions (GGA-PBE), the X-ray diffraction stick pattern of MgCu6S6 was computed for Cu Kα (weighted mean of Kα1 and Kα2).
No peak broadening, texture or thermal motion is included.

Structure:
```
data_MgCu6S6
_cell_length_a 3.744
_cell_length_b 3.763
_cell_length_c 18.000
_cell_angle_alpha 90.60
_cell_angle_beta 90.52
_cell_angle_gamma 119.82
_symmetry_space_group_name_H-M 'P 1'
_symmetry_Int_Tables_number 1
loop_
_symmetry_equiv_pos_as_xyz
'x,y,z'
loop_
_atom_site_label
_atom_site_type_symbol
_atom_site_fract_x
_atom_site_fract_y
_atom_site_fract_z
_atom_site_occupancy
Mg1 Mg 0.000 0.000 0.000 1
Cu1 Cu 0.021 0.022 0.591 1
Cu2 Cu 0.029 0.029 0.850 1
Cu3 Cu 0.039 0.064 0.251 1
Cu4 Cu 0.323 0.629 0.739 1
Cu5 Cu 0.337 0.667 0.137 1
Cu6 Cu 0.340 0.669 0.395 1
S1 S 0.372 0.729 0.266 1
S2 S 0.661 0.325 0.086 1
S3 S 0.676 0.338 0.434 1
S4 S 0.685 0.352 0.552 1
S5 S 0.700 0.367 0.901 1
S6 S 0.990 0.964 0.719 1
```

Largest 10 diffraction maxima, low angle first, 2θ from 10° to 80°:
2θ = 27.89°, I = 31.6
2θ = 29.24°, I = 44.5
2θ = 29.79°, I = 44.1
2θ = 31.10°, I = 28.3
2θ = 31.32°, I = 45.1
2θ = 31.43°, I = 42.2
2θ = 34.90°, I = 37.7
2θ = 48.38°, I = 100.0
2θ = 48.64°, I = 53.7
2θ = 49.26°, I = 28.2

Starting from DFT lattice parameters and positions (GGA-PBE), the X-ray diffraction stick pattern of MgZnCu2SnS4 was computed for Cu Kα (weighted mean of Kα1 and Kα2).
No peak broadening, texture or thermal motion is included.

Structure:
```
data_MgZnCu2SnS4
_cell_length_a 6.287
_cell_length_b 6.287
_cell_length_c 6.810
_cell_angle_alpha 122.43
_cell_angle_beta 122.43
_cell_angle_gamma 75.38
_symmetry_space_group_name_H-M 'P 1'
_symmetry_Int_Tables_number 1
loop_
_symmetry_equiv_pos_as_xyz
'x,y,z'
loop_
_atom_site_label
_atom_site_type_symbol
_atom_site_fract_x
_atom_site_fract_y
_atom_site_fract_z
_atom_site_occupancy
Mg1 Mg 0.000 0.000 0.000 1
Zn1 Zn 0.623 0.623 0.580 1
Cu1 Cu 0.016 0.577 0.292 1
Cu2 Cu 0.577 0.016 0.292 1
Sn1 Sn 0.152 0.152 0.663 1
S1 S 0.041 0.580 0.634 1
S2 S 0.317 0.317 0.184 1
S3 S 0.580 0.041 0.634 1
S4 S 0.779 0.779 0.056 1
```

Largest 10 diffraction maxima, low angle first, 2θ from 10° to 80°:
2θ = 17.71°, I = 31.0
2θ = 17.88°, I = 27.8
2θ = 24.33°, I = 45.0
2θ = 26.17°, I = 60.0
2θ = 29.29°, I = 29.8
2θ = 29.39°, I = 100.0
2θ = 33.83°, I = 53.6
2θ = 39.36°, I = 29.9
2θ = 48.09°, I = 28.2
2θ = 48.29°, I = 33.9

Starting from DFT lattice parameters and positions (GGA-PBE), the X-ray diffraction stick pattern of MgZnCu2SnS4 was computed for Cu Kα (weighted mean of Kα1 and Kα2).
No peak broadening, texture or thermal motion is included.

Structure:
```
data_MgZnCu2SnS4
_cell_length_a 6.645
_cell_length_b 6.645
_cell_length_c 6.645
_cell_angle_alpha 128.20
_cell_angle_beta 122.80
_cell_angle_gamma 80.78
_symmetry_space_group_name_H-M 'P 1'
_symmetry_Int_Tables_number 1
loop_
_symmetry_equiv_pos_as_xyz
'x,y,z'
loop_
_atom_site_label
_atom_site_type_symbol
_atom_site_fract_x
_atom_site_fract_y
_atom_site_fract_z
_atom_site_occupancy
Mg1 Mg 0.000 0.000 0.000 1
Zn1 Zn 0.000 0.500 0.500 1
Cu1 Cu 0.268 0.268 0.000 1
Cu2 Cu 0.732 0.732 0.000 1
Sn1 Sn 0.500 0.000 0.500 1
S1 S 0.062 0.589 0.937 1
S2 S 0.348 0.411 0.474 1
S3 S 0.652 0.125 0.063 1
S4 S 0.938 0.875 0.526 1
```

Largest 10 diffraction maxima, low angle first, 2θ from 10° to 80°:
2θ = 27.26°, I = 100.0
2θ = 28.05°, I = 12.7
2θ = 30.81°, I = 8.7
2θ = 42.15°, I = 30.7
2θ = 45.82°, I = 21.7
2θ = 47.68°, I = 20.5
2θ = 49.15°, I = 18.2
2θ = 52.64°, I = 15.5
2θ = 56.23°, I = 8.1
2θ = 58.82°, I = 9.0

Starting from DFT lattice parameters and positions (GGA-PBE), the X-ray diffraction stick pattern of MgZnCu2SnS4 was computed for Cu Kα (weighted mean of Kα1 and Kα2).
No peak broadening, texture or thermal motion is included.

Structure:
```
data_MgZnCu2SnS4
_cell_length_a 6.337
_cell_length_b 6.337
_cell_length_c 5.736
_cell_angle_alpha 110.20
_cell_angle_beta 110.20
_cell_angle_gamma 105.20
_symmetry_space_group_name_H-M 'P 1'
_symmetry_Int_Tables_number 1
loop_
_symmetry_equiv_pos_as_xyz
'x,y,z'
loop_
_atom_site_label
_atom_site_type_symbol
_atom_site_fract_x
_atom_site_fract_y
_atom_site_fract_z
_atom_site_occupancy
Mg1 Mg 0.000 0.000 0.000 1
Zn1 Zn 0.657 0.343 0.000 1
Cu1 Cu 0.296 0.704 0.000 1
Cu2 Cu 0.949 0.051 0.500 1
Sn1 Sn 0.365 0.635 0.500 1
S1 S 0.330 0.209 0.522 1
S2 S 0.634 0.002 0.094 1
S3 S 0.791 0.670 0.478 1
S4 S 0.998 0.366 0.906 1
```

Largest 10 diffraction maxima, low angle first, 2θ from 10° to 80°:
2θ = 17.62°, I = 39.8
2θ = 25.88°, I = 79.0
2θ = 28.18°, I = 41.7
2θ = 29.35°, I = 100.0
2θ = 30.13°, I = 79.8
2θ = 38.14°, I = 60.5
2θ = 42.12°, I = 52.6
2θ = 46.72°, I = 30.6
2θ = 47.62°, I = 35.8
2θ = 51.12°, I = 37.5

Starting from DFT lattice parameters and positions (GGA-PBE), the X-ray diffraction stick pattern of MgVCu3S4 was computed for Cu Kα (weighted mean of Kα1 and Kα2).
No peak broadening, texture or thermal motion is included.

Structure:
```
data_MgVCu3S4
_cell_length_a 5.513
_cell_length_b 5.513
_cell_length_c 5.513
_cell_angle_alpha 90.00
_cell_angle_beta 90.00
_cell_angle_gamma 90.00
_symmetry_space_group_name_H-M 'P 1'
_symmetry_Int_Tables_number 1
loop_
_symmetry_equiv_pos_as_xyz
'x,y,z'
loop_
_atom_site_label
_atom_site_type_symbol
_atom_site_fract_x
_atom_site_fract_y
_atom_site_fract_z
_atom_site_occupancy
Mg1 Mg 0.000 0.000 0.000 1
V1 V 0.500 0.500 0.500 1
Cu1 Cu 0.000 0.500 0.500 1
Cu2 Cu 0.500 0.000 0.500 1
Cu3 Cu 0.500 0.500 0.000 1
S1 S 0.259 0.259 0.741 1
S2 S 0.259 0.741 0.259 1
S3 S 0.741 0.259 0.259 1
S4 S 0.741 0.741 0.741 1
```

Largest 10 diffraction maxima, low angle first, 2θ from 10° to 80°:
2θ = 16.08°, I = 50.8
2θ = 28.03°, I = 87.1
2θ = 32.48°, I = 19.7
2θ = 36.44°, I = 18.5
2θ = 46.59°, I = 100.0
2θ = 49.60°, I = 11.0
2θ = 55.26°, I = 34.5
2θ = 60.55°, I = 6.6
2θ = 68.01°, I = 14.6
2θ = 75.10°, I = 13.0

Starting from DFT lattice parameters and positions (GGA-PBE), the X-ray diffraction stick pattern of MgVCu3S4 was computed for Cu Kα (weighted mean of Kα1 and Kα2).
No peak broadening, texture or thermal motion is included.

Structure:
```
data_MgVCu3S4
_cell_length_a 5.618
_cell_length_b 5.618
_cell_length_c 5.539
_cell_angle_alpha 90.00
_cell_angle_beta 90.00
_cell_angle_gamma 90.00
_symmetry_space_group_name_H-M 'P 1'
_symmetry_Int_Tables_number 1
loop_
_symmetry_equiv_pos_as_xyz
'x,y,z'
loop_
_atom_site_label
_atom_site_type_symbol
_atom_site_fract_x
_atom_site_fract_y
_atom_site_fract_z
_atom_site_occupancy
Mg1 Mg 0.000 0.000 0.000 1
V1 V 0.500 0.500 0.000 1
Cu1 Cu 0.000 0.500 0.000 1
Cu2 Cu 0.500 0.000 0.000 1
Cu3 Cu 0.500 0.500 0.500 1
S1 S 0.263 0.263 0.241 1
S2 S 0.263 0.737 0.759 1
S3 S 0.737 0.263 0.759 1
S4 S 0.737 0.737 0.241 1
```

Largest 10 diffraction maxima, low angle first, 2θ from 10° to 80°:
2θ = 15.77°, I = 54.9
2θ = 16.00°, I = 57.0
2θ = 27.63°, I = 89.7
2θ = 31.86°, I = 20.2
2θ = 35.84°, I = 24.0
2θ = 45.67°, I = 50.9
2θ = 46.02°, I = 100.0
2θ = 48.69°, I = 12.4
2θ = 54.22°, I = 23.3
2θ = 66.58°, I = 14.8

Starting from DFT lattice parameters and positions (GGA-PBE), the X-ray diffraction stick pattern of MgVCu3S4 was computed for Cu Kα (weighted mean of Kα1 and Kα2).
No peak broadening, texture or thermal motion is included.

Structure:
```
data_MgVCu3S4
_cell_length_a 5.530
_cell_length_b 5.530
_cell_length_c 5.530
_cell_angle_alpha 90.14
_cell_angle_beta 90.14
_cell_angle_gamma 90.14
_symmetry_space_group_name_H-M 'P 1'
_symmetry_Int_Tables_number 1
loop_
_symmetry_equiv_pos_as_xyz
'x,y,z'
loop_
_atom_site_label
_atom_site_type_symbol
_atom_site_fract_x
_atom_site_fract_y
_atom_site_fract_z
_atom_site_occupancy
Mg1 Mg 0.000 0.000 0.000 1
V1 V 0.340 0.340 0.340 1
Cu1 Cu 0.347 0.347 0.837 1
Cu2 Cu 0.347 0.837 0.347 1
Cu3 Cu 0.837 0.347 0.347 1
S1 S 0.097 0.097 0.574 1
S2 S 0.097 0.574 0.097 1
S3 S 0.574 0.097 0.097 1
S4 S 0.578 0.578 0.578 1
```

Largest 10 diffraction maxima, low angle first, 2θ from 10° to 80°:
2θ = 16.03°, I = 96.6
2θ = 27.95°, I = 100.0
2θ = 32.38°, I = 18.5
2θ = 36.34°, I = 53.0
2θ = 46.39°, I = 73.0
2θ = 46.51°, I = 58.2
2θ = 49.43°, I = 23.3
2θ = 55.05°, I = 29.9
2θ = 67.79°, I = 16.9
2θ = 70.12°, I = 9.9

Starting from DFT lattice parameters and positions (GGA-PBE), the X-ray diffraction stick pattern of MgCu2WS4 was computed for Cu Kα (weighted mean of Kα1 and Kα2).
No peak broadening, texture or thermal motion is included.

Structure:
```
data_MgCu2WS4
_cell_length_a 5.331
_cell_length_b 5.487
_cell_length_c 6.163
_cell_angle_alpha 90.00
_cell_angle_beta 90.00
_cell_angle_gamma 90.00
_symmetry_space_group_name_H-M 'P 1'
_symmetry_Int_Tables_number 1
loop_
_symmetry_equiv_pos_as_xyz
'x,y,z'
loop_
_atom_site_label
_atom_site_type_symbol
_atom_site_fract_x
_atom_site_fract_y
_atom_site_fract_z
_atom_site_occupancy
Mg1 Mg 0.000 0.000 0.000 1
Cu1 Cu 0.000 0.000 0.500 1
Cu2 Cu 0.500 0.500 0.500 1
W1 W 0.000 0.500 0.500 1
S1 S 0.233 0.256 0.270 1
S2 S 0.233 0.744 0.730 1
S3 S 0.767 0.256 0.730 1
S4 S 0.767 0.744 0.270 1
```

Largest 10 diffraction maxima, low angle first, 2θ from 10° to 80°:
2θ = 14.37°, I = 100.0
2θ = 16.15°, I = 20.0
2θ = 16.63°, I = 37.1
2θ = 21.69°, I = 34.7
2θ = 22.05°, I = 18.7
2θ = 27.45°, I = 20.8
2θ = 44.20°, I = 27.2
2θ = 44.97°, I = 25.5
2θ = 47.56°, I = 31.7
2θ = 49.95°, I = 17.4

Starting from DFT lattice parameters and positions (GGA-PBE), the X-ray diffraction stick pattern of MgCu2WS4 was computed for Cu Kα (weighted mean of Kα1 and Kα2).
No peak broadening, texture or thermal motion is included.

Structure:
```
data_MgCu2WS4
_cell_length_a 5.397
_cell_length_b 5.403
_cell_length_c 6.408
_cell_angle_alpha 74.90
_cell_angle_beta 74.98
_cell_angle_gamma 88.44
_symmetry_space_group_name_H-M 'P 1'
_symmetry_Int_Tables_number 1
loop_
_symmetry_equiv_pos_as_xyz
'x,y,z'
loop_
_atom_site_label
_atom_site_type_symbol
_atom_site_fract_x
_atom_site_fract_y
_atom_site_fract_z
_atom_site_occupancy
Mg1 Mg 0.000 0.000 0.000 1
Cu1 Cu 0.157 0.663 0.433 1
Cu2 Cu 0.663 0.157 0.435 1
W1 W 0.180 0.178 0.384 1
S1 S 0.306 0.306 0.663 1
S2 S 0.495 0.975 0.196 1
S3 S 0.885 0.884 0.671 1
S4 S 0.976 0.494 0.195 1
```

Largest 10 diffraction maxima, low angle first, 2θ from 10° to 80°:
2θ = 14.83°, I = 100.0
2θ = 17.02°, I = 66.6
2θ = 19.46°, I = 30.1
2θ = 25.46°, I = 18.7
2θ = 30.35°, I = 13.7
2θ = 33.74°, I = 14.0
2θ = 34.43°, I = 14.0
2θ = 39.51°, I = 27.8
2θ = 41.28°, I = 28.6
2θ = 47.10°, I = 17.4

Starting from DFT lattice parameters and positions (GGA-PBE), the X-ray diffraction stick pattern of MgCu2WS4 was computed for Cu Kα (weighted mean of Kα1 and Kα2).
No peak broadening, texture or thermal motion is included.

Structure:
```
data_MgCu2WS4
_cell_length_a 7.087
_cell_length_b 7.087
_cell_length_c 7.087
_cell_angle_alpha 133.89
_cell_angle_beta 133.89
_cell_angle_gamma 67.25
_symmetry_space_group_name_H-M 'P 1'
_symmetry_Int_Tables_number 1
loop_
_symmetry_equiv_pos_as_xyz
'x,y,z'
loop_
_atom_site_label
_atom_site_type_symbol
_atom_site_fract_x
_atom_site_fract_y
_atom_site_fract_z
_atom_site_occupancy
Mg1 Mg 0.000 0.000 0.000 1
Cu1 Cu 0.257 0.257 0.000 1
Cu2 Cu 0.743 0.743 0.000 1
W1 W 0.750 0.250 0.500 1
S1 S 0.098 0.114 0.486 1
S2 S 0.387 0.902 0.016 1
S3 S 0.628 0.613 0.514 1
S4 S 0.886 0.372 0.984 1
```

Largest 10 diffraction maxima, low angle first, 2θ from 10° to 80°:
2θ = 15.01°, I = 100.0
2θ = 17.66°, I = 98.6
2θ = 27.29°, I = 22.9
2θ = 27.80°, I = 31.1
2θ = 35.76°, I = 36.8
2θ = 37.01°, I = 28.0
2θ = 43.09°, I = 21.4
2θ = 44.84°, I = 55.2
2θ = 46.27°, I = 25.8
2θ = 48.92°, I = 19.4